No. 1
The following is a calculated XRD peak list of NdZnNi. It was derived from a GGA-PBE-relaxed structure, using a wavelength of 1.5418 Å.
Peak positions follow from Bragg's law for the DFT cell and can differ from measured ones.

Most intense lines, 10 to 80 degrees two-theta, by angle:
two_theta	Rel. int.
22.34	154
24.01	79
29.39	164
29.72	124
35.43	110
36.34	1000
38.24	292
42.90	210
47.63	134
58.81	161
67.90	153
74.37	68

Structural model:
a b c (Å): 4.2163 4.7069 6.3667
angles (deg): 90.00 109.21 90.00
Fractional coordinates of all 6 atoms:
Nd 0.1017 0.2500 0.2054
Nd 0.8983 0.7500 0.7946
Zn 0.3679 0.2500 0.7368
Zn 0.6321 0.7500 0.2632
Ni 0.2379 0.7500 0.4741
Ni 0.7621 0.2500 0.5259

No. 2
The following is a calculated XRD peak list of Nd2ZnNi16. It was derived from a GGA-PBE-relaxed structure, using a wavelength of 1.5418 Å.
Peak positions follow from Bragg's law for the DFT cell and can differ from measured ones.

Most intense lines, 10 to 80 degrees two-theta, by angle:
two_theta	Rel. int.
30.64	308
37.15	412
38.56	287
43.17	639
43.52	1000
44.42	169
44.58	322
44.77	139
48.89	283
63.79	157
71.39	151
79.15	180

Structural model:
a b c (Å): 6.3207 6.3207 6.3207
angles (deg): 83.08 83.08 83.08
Fractional coordinates of all 19 atoms:
Nd 0.0000 0.0000 0.0000
Nd 0.3142 0.3142 0.3142
Zn 0.7487 0.7487 0.7487
Ni 0.1570 0.6544 0.6544
Ni 0.3124 0.3124 0.8085
Ni 0.3124 0.8085 0.3124
Ni 0.3617 0.6551 0.9480
Ni 0.3617 0.9480 0.6551
Ni 0.5027 0.9986 0.9986
Ni 0.5534 0.5534 0.5534
Ni 0.6544 0.1570 0.6544
Ni 0.6544 0.6544 0.1570
Ni 0.6551 0.3617 0.9480
Ni 0.6551 0.9480 0.3617
Ni 0.8085 0.3124 0.3124
Ni 0.9480 0.3617 0.6551
Ni 0.9480 0.6551 0.3617
Ni 0.9986 0.5027 0.9986
Ni 0.9986 0.9986 0.5027

No. 3
The following is a calculated XRD peak list of Nd2Zn5Ni3. It was derived from a GGA-PBE-relaxed structure, using a wavelength of 1.5418 Å.
Peak positions follow from Bragg's law for the DFT cell and can differ from measured ones.

Most intense lines, 10 to 80 degrees two-theta, by angle:
two_theta	Rel. int.
31.78	148
32.28	65
33.06	499
35.76	1000
39.60	116
45.55	480
45.93	107
46.88	256
57.43	200
66.39	148
67.43	165
77.76	195

Structural model:
a b c (Å): 3.9826 3.9826 11.0928
angles (deg): 90.00 90.00 90.00
Fractional coordinates of all 10 atoms:
Nd 0.0000 0.5000 0.2254
Nd 0.5000 0.0000 0.7746
Zn 0.0000 0.0000 0.5000
Zn 0.0000 0.5000 0.6504
Zn 0.5000 0.0000 0.3496
Zn 0.5000 0.5000 0.0000
Zn 0.5000 0.5000 0.5000
Ni 0.0000 0.0000 0.0000
Ni 0.0000 0.5000 0.8706
Ni 0.5000 0.0000 0.1294